# 1
Starting from a structure optimized by DFT (PBE), the powder X-ray diffraction pattern of Sr2FeCuN was calculated for Cu Kα.

Atomic structure:
Cell lengths 5.388, 5.388, 3.564 Å; angles 90.00, 90.00, 90.00 degrees
Fractional coordinates of all 5 atoms:
Sr: 0.000 0.500 0.000
Sr: 0.500 0.000 0.000
Fe: 0.000 0.000 0.500
Cu: 0.500 0.500 0.500
N: 0.000 0.000 0.000

The 12 most intense peaks (2θ = 10–90°), in order of falling intensity:
2θ (°)	d (Å)	I (rel.)
34.46	2.603	100
33.26	2.694	66
60.20	1.537	38
47.75	1.905	23
62.49	1.486	20
72.66	1.301	12
79.57	1.205	10
51.26	1.782	9
80.25	1.196	8
85.64	1.134	7
69.83	1.347	7
24.98	3.564	3



# 2
Starting from a structure optimized by DFT (PBE), the powder X-ray diffraction pattern of Ni5Sb2 was calculated for Cu Kα.

Atomic structure:
Cell lengths 6.549, 6.549, 5.415 Å; angles 90.00, 90.00, 124.17 degrees
Fractional coordinates of all 14 atoms:
Ni: 0.000 0.000 0.250
Ni: 0.000 0.000 0.750
Ni: 0.159 0.405 0.000
Ni: 0.230 0.770 0.250
Ni: 0.230 0.770 0.750
Ni: 0.405 0.159 0.500
Ni: 0.595 0.841 0.500
Ni: 0.770 0.230 0.250
Ni: 0.770 0.230 0.750
Ni: 0.841 0.595 0.000
Sb: 0.190 0.401 0.500
Sb: 0.401 0.190 0.000
Sb: 0.599 0.810 0.000
Sb: 0.810 0.599 0.500

The 12 most intense peaks (2θ = 10–90°), in order of falling intensity:
2θ (°)	d (Å)	I (rel.)
44.65	2.029	100
42.98	2.104	95
45.90	1.977	94
37.12	2.422	38
45.04	2.013	30
32.01	2.796	26
70.64	1.333	26
33.08	2.708	25
41.71	2.166	24
85.24	1.139	24
79.05	1.211	18
60.41	1.532	17



# 3
Starting from a structure optimized by DFT (PBE), the powder X-ray diffraction pattern of LaPm12Nd5 was calculated for Cu Kα.

Atomic structure:
Cell lengths 10.623, 10.623, 6.098 Å; angles 90.07, 90.07, 113.38 degrees
Fractional coordinates of all 18 atoms:
La: 0.000 0.000 0.000
Pm: 0.014 0.346 0.945
Pm: 0.156 0.490 0.446
Pm: 0.179 0.179 0.548
Pm: 0.328 0.328 0.047
Pm: 0.346 0.014 0.945
Pm: 0.490 0.156 0.446
Pm: 0.510 0.844 0.554
Pm: 0.654 0.986 0.055
Pm: 0.672 0.672 0.953
Pm: 0.821 0.821 0.452
Pm: 0.844 0.510 0.554
Pm: 0.986 0.654 0.055
Nd: 0.167 0.833 0.500
Nd: 0.330 0.670 0.000
Nd: 0.500 0.500 0.500
Nd: 0.670 0.330 0.000
Nd: 0.833 0.167 0.500

The 12 most intense peaks (2θ = 10–90°), in order of falling intensity:
2θ (°)	d (Å)	I (rel.)
31.18	2.868	100
30.20	2.959	30
29.29	3.049	24
54.26	1.691	21
42.57	2.124	17
33.96	2.640	12
53.15	1.723	12
56.64	1.625	9
46.71	1.945	8
56.06	1.641	6
70.78	1.331	6
87.64	1.113	6